1.
Simulated X-ray powder pattern
Compound: Li2FePCO7
Radiation: λ = 1.5418 Å (Cu Kα)
Structure: a DFT-relaxed cell (GGA+U, the Materials Project)
Intensities are scaled so that the largest is 100.

Top 10 peaks for 10 to 90 degrees two-theta, sorted by position:
10.42°, I 94
16.65°, I 15
18.20°, I 24
19.80°, I 25
20.80°, I 36
22.50°, I 17
24.72°, I 16
26.55°, I 13
28.10°, I 100
35.18°, I 24

Cell and atoms:
```
24
Lattice="5.1102 0.0000 0.0000 -0.0524 6.3743 0.0000 -0.4665 -0.7802 8.4931" Properties=species:S:1:pos:R:3 pbc="T T T"
Li 0.6997 2.4159 2.2809
Li 1.1709 5.7360 1.4061
Li 3.4204 -0.1419 7.0870
Li 3.8916 3.1782 6.2122
Fe 0.8010 1.2280 5.6039
Fe 3.7903 4.3661 2.8892
P 1.3281 4.3562 4.8601
P 3.2632 1.2379 3.6330
C 0.8768 0.8808 8.1213
C 3.7145 4.7133 0.3718
O -0.2358 1.1090 7.4673
O 0.6939 4.2741 3.4340
O 0.7766 3.2088 5.7524
O 0.9537 5.6804 5.5489
O 1.3570 1.2409 0.8279
O 1.7146 1.3755 3.7701
O 1.9578 1.0871 7.4088
O 2.6335 4.5070 1.0843
O 2.8767 4.2186 4.7230
O 3.2342 4.3532 7.6651
O 3.6375 -0.0864 2.9442
O 3.8147 2.3853 2.7406
O 3.8974 1.3200 5.0590
O 4.8271 4.4850 1.0257
```

---

2.
Simulated X-ray powder pattern
Compound: TmMoBrO4
Radiation: λ = 1.5418 Å (Cu Kα)
Structure: a DFT-relaxed cell (GGA+U, the Materials Project)
Intensities are scaled so that the largest is 100.

Top 10 peaks for 10 to 90 degrees two-theta, sorted by position:
13.59°, I 38
17.83°, I 24
24.78°, I 100
25.91°, I 44
27.38°, I 24
27.91°, I 20
30.05°, I 20
31.08°, I 28
33.59°, I 25
50.83°, I 16

Cell and atoms:
```
28
Lattice="6.9346 0.0000 0.0000 -0.5899 7.2074 0.0000 -3.3045 -2.8169 9.9503" Properties=species:S:1:pos:R:3 pbc="T T T"
Tm -0.1528 1.7807 2.3092
Tm -1.3807 -1.2862 7.2678
Tm 4.4209 5.6766 2.6825
Tm 3.1930 2.6097 7.6411
Mo 0.6666 5.4916 1.3366
Mo -0.5262 2.4743 6.2379
Mo 3.5664 1.9162 3.7124
Mo 2.3736 -1.1011 8.6137
Br -0.5318 5.8416 4.7745
Br 1.9252 1.9738 0.1707
Br 1.1150 2.4167 9.7796
Br 3.5720 -1.4511 5.1758
O 0.0465 -0.4142 1.8310
O -0.0787 3.9953 1.9975
O -1.7117 3.6906 6.9993
O -2.4847 2.5758 9.5235
O -0.6089 2.3693 4.4543
O -0.9835 0.9101 6.9583
O 1.8777 1.5742 3.2852
O 0.7662 -1.3717 7.8974
O 2.2740 5.7622 2.0529
O 1.1625 2.8163 6.6651
O 4.0237 3.4803 2.9920
O 3.6491 2.0212 5.4960
O 5.5249 1.8147 0.4268
O 4.7519 0.6998 2.9510
O 3.1189 0.3952 7.9528
O 2.9937 4.8047 8.1193
```

---

3.
Simulated X-ray powder pattern
Compound: YVO4
Radiation: λ = 1.5418 Å (Cu Kα)
Structure: a DFT-relaxed cell (GGA+U, the Materials Project)
Intensities are scaled so that the largest is 100.

Top 10 peaks for 10 to 90 degrees two-theta, sorted by position:
29.35°, I 100
31.49°, I 13
35.23°, I 15
40.39°, I 13
47.96°, I 30
50.68°, I 13
54.75°, I 16
59.65°, I 27
60.89°, I 10
77.83°, I 11

Cell and atoms:
```
12
Lattice="-2.5475 2.5475 5.6822 2.5475 -2.5475 5.6822 2.5475 2.5475 -5.6822" Properties=species:S:1:pos:R:3 pbc="T T T"
Y 0.0000 1.2737 1.4206
Y 2.5475 1.2737 4.2617
V 2.5475 1.2737 -1.4206
V 0.0000 1.2737 7.1028
O 1.2446 0.5293 -0.5059
O 1.8031 0.0292 2.3352
O 1.8031 2.5767 -2.3352
O 1.3029 -0.5293 5.1763
O 1.2446 3.0768 0.5059
O 0.7444 -0.0292 8.0174
O 0.7444 2.5183 3.3470
O 1.3029 2.0182 6.1881
```

---

4.
Simulated X-ray powder pattern
Compound: Mn6O5F7
Radiation: λ = 1.5418 Å (Cu Kα)
Structure: a DFT-relaxed cell (GGA+U, the Materials Project)
Intensities are scaled so that the largest is 100.

Top 10 peaks for 10 to 90 degrees two-theta, sorted by position:
24.55°, I 97
29.95°, I 93
30.05°, I 100
34.34°, I 20
39.49°, I 20
40.75°, I 22
51.81°, I 29
52.35°, I 23
52.50°, I 23
53.54°, I 51

Cell and atoms:
```
36
Lattice="4.6926 0.0000 0.0000 0.0069 5.7129 0.0000 0.0408 0.0804 15.6689" Properties=species:S:1:pos:R:3 pbc="T T T"
Mn 0.0000 0.0000 0.0000
Mn 0.0314 0.0720 10.4302
Mn 0.0730 1.8080 2.5475
Mn 0.1286 5.6002 5.3564
Mn 0.1339 1.7418 7.8806
Mn 2.3314 2.8831 5.0613
Mn 2.4749 4.5575 7.6862
Mn 2.5194 2.7923 10.2860
Mn 2.5338 4.5493 2.4747
Mn 2.5715 4.6280 12.8549
Mn 2.6416 2.8003 15.6215
Mn 4.6292 1.8158 12.9763
O 1.4146 3.1001 3.3321
O 1.4611 4.3884 6.0315
O 1.4901 3.0128 8.6149
O 3.4779 3.1312 11.9578
O 3.5704 3.0912 1.5913
O 3.7587 0.2589 12.0724
O 3.8034 1.5182 14.7886
O 3.7777 0.2137 1.7183
O 3.8143 0.1876 7.0045
O 3.8278 1.5195 9.5318
F 1.2440 0.1823 13.9034
F 1.2300 1.5252 6.1928
F 1.2431 0.2225 3.5043
F 1.2666 1.5807 11.3720
F 1.2718 0.1554 8.8633
F 1.2967 4.4043 11.1457
F 1.2878 1.4348 0.8572
F 1.3606 4.3176 0.6499
F 1.4464 3.0643 13.8753
F 3.5827 4.3770 9.3550
F 3.6197 3.0224 6.6940
F 3.6526 4.3641 14.6369
F 3.6569 4.3328 4.2310
F 3.7215 1.4399 4.4028
```

---

5.
Simulated X-ray powder pattern
Compound: MgIn2Fe2O6
Radiation: λ = 1.5418 Å (Cu Kα)
Structure: a DFT-relaxed cell (GGA+U, the Materials Project)
Intensities are scaled so that the largest is 100.

Top 10 peaks for 10 to 90 degrees two-theta, sorted by position:
12.26°, I 62
24.66°, I 45
30.97°, I 100
31.55°, I 29
33.32°, I 60
33.50°, I 92
36.20°, I 38
39.88°, I 37
40.16°, I 35
55.10°, I 70

Cell and atoms:
```
11
Lattice="2.8884 -1.6660 0.0000 2.8884 1.6660 0.0000 -0.1550 0.0000 14.4406" Properties=species:S:1:pos:R:3 pbc="T T T"
Mg 0.0000 0.0000 0.0000
In 1.7639 0.0000 5.4815
In 1.7838 0.0000 11.7821
Fe 3.9179 0.0000 2.3851
Fe 5.6303 0.0000 8.5919
O 1.8333 0.0000 1.2121
O 1.8019 0.0000 8.7959
O 3.6792 0.0000 4.2934
O 3.6642 0.0000 13.3291
O 5.6156 0.0000 6.4952
O 5.6345 0.0000 10.9410
```

---

6.
Simulated X-ray powder pattern
Compound: LiMnF4
Radiation: λ = 1.5418 Å (Cu Kα)
Structure: a DFT-relaxed cell (GGA+U, the Materials Project)
Intensities are scaled so that the largest is 100.

Top 10 peaks for 10 to 90 degrees two-theta, sorted by position:
19.00°, I 100
25.84°, I 39
28.11°, I 26
28.29°, I 15
34.30°, I 18
38.69°, I 67
44.79°, I 26
51.24°, I 29
53.83°, I 18
67.03°, I 22

Cell and atoms:
```
24
Lattice="6.3094 0.0000 0.0000 0.0000 6.3499 0.0000 0.0000 0.0000 6.8950" Properties=species:S:1:pos:R:3 pbc="T T T"
Li 1.5134 1.5875 1.5900
Li 1.6414 4.7624 5.0375
Li 4.6681 1.5875 1.8575
Li 4.7961 4.7624 5.3050
Mn 0.0594 1.5875 5.1725
Mn 3.0953 4.7624 1.7250
Mn 3.2142 1.5875 5.1700
Mn 6.2500 4.7624 1.7225
F 0.0586 3.4315 5.1763
F 0.0586 6.0933 5.1763
F 1.5219 4.7624 0.4552
F 1.5226 4.7624 3.0559
F 1.6328 1.5875 3.9026
F 1.6321 1.5875 6.5034
F 3.0962 0.2566 1.7289
F 3.0962 2.9184 1.7289
F 3.2133 3.4315 5.1661
F 3.2133 6.0933 5.1661
F 4.6773 4.7624 0.3916
F 4.6766 4.7624 2.9923
F 4.7868 1.5875 3.8391
F 4.7875 1.5875 6.4398
F 6.2509 0.2566 1.7186
F 6.2509 2.9184 1.7186
```

---

7.
Simulated X-ray powder pattern
Compound: Ti3CrFe2P6O24
Radiation: λ = 1.5418 Å (Cu Kα)
Structure: a DFT-relaxed cell (GGA+U, the Materials Project)
Intensities are scaled so that the largest is 100.

Top 10 peaks for 10 to 90 degrees two-theta, sorted by position:
20.49°, I 69
24.23°, I 100
25.23°, I 18
31.83°, I 16
33.12°, I 62
35.89°, I 31
47.46°, I 29
49.63°, I 23
56.15°, I 20
62.75°, I 16

Cell and atoms:
```
36
Lattice="4.3337 2.5021 6.9253 -4.3337 2.5021 6.9253 0.0000 -5.0042 6.9253" Properties=species:S:1:pos:R:3 pbc="T T T"
Ti 0.0000 0.0000 0.0000
Ti 0.0000 0.0000 4.4103
Ti 0.0000 0.0000 10.4003
Cr 0.0000 0.0000 14.8742
Fe 0.0000 0.0000 7.3918
Fe 0.0000 0.0000 17.8020
P -3.0676 0.2943 9.1319
P -1.2551 -2.1864 12.6275
P 1.2789 -2.8037 9.1319
P -1.2659 2.1802 12.6275
P 1.7886 2.5095 9.1319
P 2.5211 0.0062 12.6275
O -3.5286 1.0435 7.8709
O -0.8765 -1.2448 5.7971
O -2.8021 -2.3436 12.4552
O -3.4708 1.0827 10.3912
O 0.8607 -3.5776 7.8709
O -1.5237 0.1494 8.9932
O -0.6398 1.3815 5.7971
O 0.7977 -3.5471 10.3912
O -0.7874 -1.4383 11.3460
O 0.6325 -1.3942 8.9932
O 1.5163 -0.1367 5.7971
O -0.8455 -1.4665 13.8858
O -0.8519 1.4011 11.3460
O -1.5263 -0.1496 16.2274
O 0.8912 1.2448 8.9932
O -0.8473 1.4655 13.8858
O 1.6393 0.0372 11.3460
O -0.6286 3.5986 12.4552
O 0.8927 -1.2470 16.2274
O 2.6680 2.5342 7.8709
O 1.6928 0.0011 13.8858
O 3.4307 -1.2549 12.4552
O 0.6336 1.3966 16.2274
O 2.6731 2.4644 10.3912
```